Structure and computed powder diffraction line list of TiF3 (DFT lattice parameters and positions (PBE); CuKα).
Lines closer than 0.1° are merged.

Principal peaks in the range 2θ from 15° to 90°, in order of rising 2θ:
hkl, 2theta, I (rel.)
1 1 0, 17.0, 100
0 2 0, 19.0, 30
0 2 2, 43.1, 5
1 3 -2, 45.9, 7
3 1 -2, 46.4, 6
1 1 2, 47.4, 6
1 3 2, 55.4, 6
2 6 0, 67.2, 6

Structural model:
Lattice parameters (Å, degrees): 6.824 9.345 5.112 90.00 113.30 90.00
Space group C2/c (No. 15)
Unique sites:
Ti (0.000, 0.000, 0.000) (multiplicity 4)
F (0.000, 0.164, 0.250) (multiplicity 4)
F (0.211, 0.083, 0.861) (multiplicity 8)

Structure and computed powder diffraction line list of LiTi2O4 (DFT lattice parameters and positions (PBE); CuKα).
Lines closer than 0.1° are merged.

Principal peaks in the range 2θ from 15° to 90°, in order of rising 2θ:
hkl, 2theta, I (rel.)
2 0 -1, 23.9, 88
0 1 1, 24.9, 100
0 0 4, 40.5, 55
4 0 0, 44.2, 42
0 2 0, 46.4, 40
4 1 1, 51.3, 19
0 2 4, 63.3, 23
4 2 0, 66.0, 20

Structural model:
Lattice parameters (Å, degrees): 8.204 3.913 8.905 90.00 90.10 90.00
Space group Pm (No. 6)
Unique sites:
Li (0.000, 0.000, 0.000) (multiplicity 1)
Li (0.001, 0.500, 0.235) (multiplicity 1)
Li (0.253, 0.500, 0.500) (multiplicity 1)
Li (0.254, 0.000, 0.735) (multiplicity 1)
Ti (0.272, 0.500, 0.991) (multiplicity 1)
Ti (0.273, 0.000, 0.253) (multiplicity 1)
Ti (0.515, 0.000, 0.485) (multiplicity 1)
Ti (0.515, 0.500, 0.750) (multiplicity 1)
Ti (0.738, 0.500, 0.991) (multiplicity 1)
Ti (0.739, 0.000, 0.257) (multiplicity 1)
Ti (0.980, 0.000, 0.488) (multiplicity 1)
Ti (0.981, 0.500, 0.750) (multiplicity 1)
O (0.001, 0.500, 0.971) (multiplicity 1)
O (0.002, 0.000, 0.268) (multiplicity 1)
O (0.010, 0.000, 0.724) (multiplicity 1)
O (0.010, 0.500, 0.519) (multiplicity 1)
O (0.244, 0.000, 0.018) (multiplicity 1)
O (0.244, 0.500, 0.224) (multiplicity 1)
O (0.251, 0.000, 0.474) (multiplicity 1)
O (0.252, 0.500, 0.771) (multiplicity 1)
O (0.495, 0.500, 0.520) (multiplicity 1)
O (0.496, 0.000, 0.720) (multiplicity 1)
O (0.501, 0.500, 0.976) (multiplicity 1)
O (0.502, 0.000, 0.258) (multiplicity 1)
O (0.751, 0.000, 0.483) (multiplicity 1)
O (0.752, 0.500, 0.765) (multiplicity 1)
O (0.757, 0.000, 0.021) (multiplicity 1)
O (0.758, 0.500, 0.221) (multiplicity 1)